For Tm2GaCoC, a structure optimized by DFT (GGA-PBE) gives the computed X-ray diffraction stick pattern in this record (Cu Kα X-rays).
Peak positions follow from Bragg's law for the DFT cell and can differ from measured ones.

Structure:
a = 6.139 Å, b = 3.863 Å, c = 8.161 Å
α = 90.00°, β = 109.87°, γ = 90.00°
Element x y z (fractional)
Tm: 0.218 0.250 0.469
Tm: 0.229 0.250 0.879
Tm: 0.771 0.750 0.121
Tm: 0.782 0.750 0.531
Ga: 0.285 0.750 0.197
Ga: 0.715 0.250 0.803
Co: 0.498 0.750 0.758
Co: 0.502 0.250 0.242
C: 0.191 0.750 0.669
C: 0.809 0.250 0.331

Peak list (10 most intense, 10° ≤ 2θ ≤ 80°, by angle)
d/Å  2θ (°)  I/Imax  hkl
3.211  27.79  65  1 1 0
2.887  30.98  43  2 0 0
2.811  31.83  22  2 0 -2
2.787  32.12  38  1 0 2
2.726  32.86  100  0 1 2
2.558  35.08  28  0 0 3
2.402  37.44  23  2 1 -1
2.273  39.65  22  2 1 -2
2.215  40.73  23  1 1 -3
1.932  47.05  30  0 2 0